The following is a calculated PXRD pattern of PmY14Sc. It was derived from the GGA-PBE geometry in Alexandria, using CuKα.
No peak broadening, texture or thermal motion is included.

Top 6 peaks for 5 to 70 degrees two-theta, most intense first:
(2 0 2), 2θ 30.80, intensity 100.0; (2 2 0), 2θ 35.66, intensity 33.4; (4 2 2), 2θ 61.06, intensity 26.8; (2 2 4), 2θ 51.43, intensity 22.8; (0 0 4), 2θ 35.81, intensity 16.5; (2 0 6), 2θ 61.25, intensity 13.2

Crystal structure
```
PmY14Sc
1.0
7.121 0.000 0.000
0.000 7.121 0.000
0.000 0.000 10.031
Pm Y Sc
1 14 1
Direct
0.000 0.000 0.000 Pm
0.000 0.000 0.500 Y
0.000 0.500 0.000 Y
0.000 0.500 0.500 Y
0.252 0.252 0.248 Y
0.252 0.252 0.752 Y
0.252 0.748 0.248 Y
0.252 0.748 0.752 Y
0.500 0.000 0.000 Y
0.500 0.000 0.500 Y
0.500 0.500 0.500 Y
0.748 0.252 0.248 Y
0.748 0.252 0.752 Y
0.748 0.748 0.248 Y
0.748 0.748 0.752 Y
0.500 0.500 0.000 Sc
```

The following is a calculated PXRD pattern of Pm3Y7Sc. It was derived from the GGA-PBE geometry in Alexandria, using CuKα.
No peak broadening, texture or thermal motion is included.

Top 6 peaks for 5 to 70 degrees two-theta, most intense first:
(0 2 1), 2θ 31.00, intensity 100.0; (2 0 2), 2θ 35.99, intensity 65.9; (4 0 1), 2θ 61.58, intensity 40.1; (0 0 3), 2θ 31.13, intensity 32.4; (0 2 4), 2θ 51.89, intensity 23.1; (2 2 0), 2θ 51.72, intensity 22.8

Crystal structure
```
Pm3Y7Sc
1.0
7.070 0.000 0.000
-3.535 6.123 0.000
0.000 0.000 8.618
Pm Y Sc
3 7 1
Direct
0.002 0.501 0.000 Pm
0.499 0.501 0.000 Pm
0.499 0.998 0.000 Pm
0.168 0.337 0.342 Y
0.168 0.832 0.342 Y
0.335 0.168 0.668 Y
0.663 0.832 0.342 Y
0.667 0.333 0.339 Y
0.832 0.168 0.668 Y
0.832 0.665 0.668 Y
0.333 0.667 0.665 Sc
```

> Number 1 is which compound?

PmY14Sc